No. 1
Structure and computed X-ray powder pattern of K5GaP2 (the PBE geometry in Alexandria; copper Kα).
Peak positions follow from Bragg's law for the DFT cell and can differ from measured ones.

Principal peaks in the range 2θ from 15° to 90°, in order of rising 2θ:
d 4.395, 2θ = 20.20°, intensity 511
d 3.590, 2θ = 24.80°, intensity 878
d 2.779, 2θ = 32.21°, intensity 1000
d 2.351, 2θ = 38.29°, intensity 502
d 1.795, 2θ = 50.87°, intensity 284
d 1.508, 2θ = 61.49°, intensity 309

Structural model:
Unit cell a=14.724 b=14.724 c=14.724 alpha=21.76 beta=21.76 gamma=21.76
Positions (direct):
K 0.000 0.000 0.000
K 0.131 0.131 0.131
K 0.254 0.254 0.254
K 0.746 0.746 0.746
K 0.869 0.869 0.869
Ga 0.500 0.500 0.500
P 0.449 0.449 0.449
P 0.551 0.551 0.551

=====

No. 2
Structure and computed X-ray powder pattern of CsNa2SrCu (the PBE geometry in Alexandria; copper Kα).
Peak positions follow from Bragg's law for the DFT cell and can differ from measured ones.

Principal peaks in the range 2θ from 15° to 90°, in order of rising 2θ:
d 4.350, 2θ = 20.42°, intensity 1000
d 4.273, 2θ = 20.79°, intensity 418
d 3.509, 2θ = 25.38°, intensity 818
d 3.076, 2θ = 29.03°, intensity 841
d 2.453, 2θ = 36.64°, intensity 448
d 2.136, 2θ = 42.30°, intensity 591

Structural model:
Unit cell a=6.152 b=6.152 c=5.939 alpha=90.00 beta=90.00 gamma=90.00
Positions (direct):
Cs 0.000 0.000 0.000
Na 0.000 0.500 0.500
Na 0.500 0.000 0.500
Sr 0.500 0.500 0.000
Cu 0.500 0.500 0.500

=====

No. 3
Structure and computed X-ray powder pattern of K2ZnFe (the PBE geometry in Alexandria; copper Kα).
Peak positions follow from Bragg's law for the DFT cell and can differ from measured ones.

Principal peaks in the range 2θ from 15° to 90°, in order of rising 2θ:
d 5.302, 2θ = 16.72°, intensity 186
d 5.108, 2θ = 17.36°, intensity 327
d 3.022, 2θ = 29.55°, intensity 367
d 2.908, 2θ = 30.74°, intensity 1000
d 1.904, 2θ = 47.76°, intensity 169
d 1.594, 2θ = 57.84°, intensity 180

Structural model:
Unit cell a=6.425 b=6.425 c=6.425 alpha=140.66 beta=126.06 gamma=68.77
Positions (direct):
K 0.000 0.000 0.000
K 0.696 0.196 0.500
Zn 0.290 0.790 0.500
Fe 0.392 0.392 0.000

=====

No. 4
Structure and computed X-ray powder pattern of Zr3CoBi2 (the PBE geometry in Alexandria; copper Kα).
Peak positions follow from Bragg's law for the DFT cell and can differ from measured ones.

Principal peaks in the range 2θ from 15° to 90°, in order of rising 2θ:
d 2.752, 2θ = 32.53°, intensity 344
d 2.714, 2θ = 33.01°, intensity 1000
d 2.411, 2θ = 37.30°, intensity 433
d 2.353, 2θ = 38.24°, intensity 415
d 2.324, 2θ = 38.74°, intensity 292
d 2.018, 2θ = 44.93°, intensity 395

Structural model:
Unit cell a=12.024 b=4.037 c=10.996 alpha=90.00 beta=90.00 gamma=90.00
Positions (direct):
Zr 0.072 0.250 0.093
Zr 0.112 0.750 0.529
Zr 0.225 0.750 0.245
Zr 0.275 0.250 0.745
Zr 0.388 0.250 0.029
Zr 0.428 0.750 0.593
Zr 0.572 0.250 0.407
Zr 0.612 0.750 0.971
Zr 0.725 0.750 0.255
Zr 0.775 0.250 0.755
Zr 0.888 0.250 0.471
Zr 0.928 0.750 0.907
Co 0.096 0.250 0.365
Co 0.404 0.750 0.865
Co 0.596 0.250 0.135
Co 0.904 0.750 0.635
Bi 0.024 0.250 0.721
Bi 0.198 0.750 0.951
Bi 0.302 0.250 0.451
Bi 0.476 0.750 0.221
Bi 0.524 0.250 0.779
Bi 0.698 0.750 0.549
Bi 0.802 0.250 0.049
Bi 0.976 0.750 0.279